# 1
The following is a simulated powder XRD pattern of HfTcNO. It was derived from a structure optimized by DFT (GGA-PBE), using a wavelength of 1.5418 Å.
Intensities are scaled so that the largest is 100.

Structural model:
Cell: 3.7245 3.7245 6.8245 Å, 90.00 90.00 90.00°
Element x y z (fractional)
Hf 0.2500 0.2500 0.1607
Hf 0.7500 0.7500 0.8393
Tc 0.2500 0.7500 0.5000
Tc 0.7500 0.2500 0.5000
N 0.2500 0.2500 0.6482
N 0.7500 0.7500 0.3518
O 0.2500 0.7500 0.0000
O 0.7500 0.2500 0.0000

The 10 most intense peaks (10 to 90 degrees two-theta), most intense first:
| 2θ/deg | d/Å | I/Imax |
| --- | --- | --- |
| 27.3 | 3.269 | 100 |
| 35.7 | 2.516 | 78 |
| 36.6 | 2.457 | 72 |
| 43.4 | 2.085 | 59 |
| 48.9 | 1.862 | 50 |
| 62.0 | 1.497 | 31 |
| 39.6 | 2.275 | 30 |
| 64.7 | 1.441 | 30 |
| 56.9 | 1.618 | 28 |
| 65.1 | 1.432 | 24 |

# 2
The following is a simulated powder XRD pattern of Li4PrPdO6. It was derived from a structure optimized by DFT (GGA-PBE), using a wavelength of 1.5418 Å.
Intensities are scaled so that the largest is 100.

Structural model:
Cell: 5.4584 5.4584 5.1797 Å, 99.22 99.22 120.98°
Element x y z (fractional)
Li 0.0000 0.0000 0.0000
Li 0.3769 0.6231 0.0000
Li 0.6633 0.3367 0.0000
Li 0.8537 0.1463 0.5000
Pr 0.1888 0.8112 0.5000
Pd 0.5184 0.4816 0.5000
O 0.1326 0.3835 0.2493
O 0.2798 0.2632 0.7411
O 0.4593 0.1154 0.2463
O 0.6165 0.8674 0.7507
O 0.7368 0.7202 0.2589
O 0.8846 0.5407 0.7537

The 10 most intense peaks (10 to 90 degrees two-theta), most intense first:
| 2θ/deg | d/Å | I/Imax |
| --- | --- | --- |
| 18.1 | 4.898 | 100 |
| 41.0 | 2.202 | 55 |
| 19.8 | 4.483 | 43 |
| 33.3 | 2.688 | 42 |
| 22.7 | 3.913 | 32 |
| 35.2 | 2.547 | 30 |
| 42.1 | 2.147 | 25 |
| 34.0 | 2.634 | 22 |
| 18.7 | 4.750 | 22 |
| 26.1 | 3.410 | 20 |

# 3
The following is a simulated powder XRD pattern of LaTeAuO. It was derived from a structure optimized by DFT (GGA-PBE), using a wavelength of 1.5418 Å.
Intensities are scaled so that the largest is 100.

Structural model:
Cell: 20.7111 4.2164 4.2164 Å, 89.62 90.00 90.00°
Element x y z (fractional)
La 0.0568 0.2498 0.7502
La 0.4432 0.7498 0.2502
La 0.5568 0.2502 0.7498
La 0.9432 0.7502 0.2498
Te 0.1428 0.7489 0.2516
Te 0.3572 0.2489 0.7516
Te 0.6428 0.7516 0.2489
Te 0.8572 0.2516 0.7489
Au 0.2502 0.0010 0.0059
Au 0.2498 0.5010 0.5059
Au 0.7498 0.0059 0.0010
Au 0.7502 0.5059 0.5010
O 0.0000 0.2500 0.2500
O 0.0000 0.7500 0.7500
O 0.5000 0.2500 0.2500
O 0.5000 0.7500 0.7500

The 10 most intense peaks (10 to 90 degrees two-theta), most intense first:
| 2θ/deg | d/Å | I/Imax |
| --- | --- | --- |
| 29.9 | 2.991 | 100 |
| 27.3 | 3.269 | 93 |
| 46.5 | 1.952 | 68 |
| 33.6 | 2.671 | 68 |
| 34.8 | 2.577 | 65 |
| 43.8 | 2.066 | 61 |
| 31.3 | 2.856 | 60 |
| 53.8 | 1.703 | 40 |
| 43.7 | 2.071 | 32 |
| 17.1 | 5.178 | 28 |

# 4
The following is a simulated powder XRD pattern of HoFe4B4. It was derived from a structure optimized by DFT (GGA-PBE), using a wavelength of 1.5418 Å.
Intensities are scaled so that the largest is 100.

Structural model:
Cell: 6.9246 6.9246 3.8184 Å, 90.00 90.00 90.00°
Element x y z (fractional)
Ho 0.2500 0.2500 0.2500
Ho 0.7500 0.7500 0.7500
Fe 0.1180 0.6348 0.1401
Fe 0.1348 0.8820 0.6401
Fe 0.3652 0.6180 0.6401
Fe 0.3820 0.8652 0.1401
Fe 0.6180 0.1348 0.8599
Fe 0.6348 0.3820 0.3599
Fe 0.8652 0.1180 0.3599
Fe 0.8820 0.3652 0.8599
B 0.0511 0.9169 0.1431
B 0.0831 0.5511 0.6431
B 0.4169 0.9489 0.6431
B 0.4489 0.5831 0.1431
B 0.5511 0.4169 0.8569
B 0.5831 0.0511 0.3569
B 0.9169 0.4489 0.3569
B 0.9489 0.0831 0.8569

The 10 most intense peaks (10 to 90 degrees two-theta), most intense first:
| 2θ/deg | d/Å | I/Imax |
| --- | --- | --- |
| 37.4 | 2.405 | 100 |
| 41.2 | 2.190 | 72 |
| 26.7 | 3.344 | 64 |
| 53.4 | 1.716 | 31 |
| 25.7 | 3.462 | 30 |
| 72.6 | 1.302 | 18 |
| 36.7 | 2.448 | 18 |
| 60.2 | 1.537 | 16 |
| 64.8 | 1.439 | 16 |
| 49.5 | 1.841 | 15 |

# 5
The following is a simulated powder XRD pattern of PrCo2BAs. It was derived from a structure optimized by DFT (GGA-PBE), using a wavelength of 1.5418 Å.
Intensities are scaled so that the largest is 100.

Structural model:
Cell: 3.7331 3.7331 10.7870 Å, 90.00 90.00 90.00°
Element x y z (fractional)
Pr 0.0000 0.0000 0.0000
Pr 0.5000 0.5000 0.5000
Co 0.0000 0.5000 0.2746
Co 0.0000 0.5000 0.7746
Co 0.5000 0.0000 0.2746
Co 0.5000 0.0000 0.7746
B 0.0000 0.0000 0.3434
B 0.5000 0.5000 0.8434
As 0.0000 0.0000 0.6440
As 0.5000 0.5000 0.1440

The 10 most intense peaks (10 to 90 degrees two-theta), most intense first:
| 2θ/deg | d/Å | I/Imax |
| --- | --- | --- |
| 37.9 | 2.371 | 100 |
| 34.6 | 2.590 | 93 |
| 48.8 | 1.867 | 64 |
| 25.2 | 3.528 | 46 |
| 61.2 | 1.514 | 35 |
| 71.5 | 1.320 | 26 |
| 62.5 | 1.486 | 25 |
| 83.9 | 1.153 | 19 |
| 33.2 | 2.697 | 16 |
| 60.3 | 1.535 | 11 |

# 6
The following is a simulated powder XRD pattern of Nd2Sm2CI2Br2Cl. It was derived from a structure optimized by DFT (GGA-PBE), using a wavelength of 1.5418 Å.
Intensities are scaled so that the largest is 100.

Structural model:
Cell: 9.5312 9.5312 8.2949 Å, 101.13 101.13 24.05°
Element x y z (fractional)
Nd 0.0038 0.0038 0.2898
Nd 0.9962 0.9962 0.7102
Sm 0.3642 0.3642 0.4316
Sm 0.6358 0.6358 0.5684
C 0.5000 0.5000 0.5000
I 0.1666 0.1666 0.8606
I 0.8334 0.8334 0.1394
Br 0.1715 0.1715 0.3315
Br 0.8285 0.8285 0.6685
Cl 0.5000 0.5000 0.0000

The 10 most intense peaks (10 to 90 degrees two-theta), most intense first:
| 2θ/deg | d/Å | I/Imax |
| --- | --- | --- |
| 31.2 | 2.868 | 100 |
| 29.3 | 3.046 | 44 |
| 43.7 | 2.071 | 41 |
| 10.9 | 8.132 | 32 |
| 33.3 | 2.689 | 32 |
| 42.9 | 2.107 | 26 |
| 30.1 | 2.969 | 25 |
| 45.7 | 1.985 | 19 |
| 32.2 | 2.777 | 17 |
| 13.1 | 6.775 | 16 |